[1]
Structure and computed powder diffractogram of Cs3Mo2Cl9 (DFT lattice parameters and positions (PBE); copper Kα).
Peak positions follow from Bragg's law for the DFT cell and can differ from measured ones.

Peak list (8 most intense, 2θ from 10° to 80°, by angle)
2θ/deg	I (rel.)
14.4	34.9
19.9	37.2
23.5	100.0
28.0	47.0
29.0	46.2
31.0	74.0
33.7	48.6
48.1	45.5

Cell and atoms:
Unit cell a=7.5671 b=7.5671 c=18.2584 alpha=90.00 beta=90.00 gamma=120.00
Sites, in units of the cell vectors:
Cs 0.0000 0.0000 0.2500
Cs 0.0000 0.0000 0.7500
Cs 0.3333 0.6667 0.0708
Cs 0.3333 0.6667 0.4292
Cs 0.6667 0.3333 0.5708
Cs 0.6667 0.3333 0.9292
Mo 0.3333 0.6667 0.6735
Mo 0.3333 0.6667 0.8265
Mo 0.6667 0.3333 0.1735
Mo 0.6667 0.3333 0.3265
Cl 0.0179 0.5089 0.7500
Cl 0.1821 0.3642 0.5974
Cl 0.1821 0.3642 0.9026
Cl 0.1821 0.8179 0.5974
Cl 0.1821 0.8179 0.9026
Cl 0.3642 0.1821 0.0974
Cl 0.3642 0.1821 0.4026
Cl 0.4911 0.5089 0.7500
Cl 0.4911 0.9821 0.7500
Cl 0.5089 0.0179 0.2500
Cl 0.5089 0.4911 0.2500
Cl 0.6358 0.8179 0.5974
Cl 0.6358 0.8179 0.9026
Cl 0.8179 0.1821 0.0974
Cl 0.8179 0.1821 0.4026
Cl 0.8179 0.6358 0.0974
Cl 0.8179 0.6358 0.4026
Cl 0.9821 0.4911 0.2500

[2]
Structure and computed powder diffractogram of CsMo3Cl7 (DFT lattice parameters and positions (PBE); copper Kα).
Peak positions follow from Bragg's law for the DFT cell and can differ from measured ones.

Peak list (8 most intense, 2θ from 10° to 80°, by angle)
2θ/deg	I (rel.)
10.0	31.4
11.7	100.0
15.5	49.7
17.4	17.9
29.5	14.3
37.3	18.9
42.9	24.5
48.5	16.1

Cell and atoms:
Unit cell a=10.1718 b=10.1718 c=15.0942 alpha=90.00 beta=90.00 gamma=120.00
Sites, in units of the cell vectors:
Cs 0.0000 0.0000 0.0000
Cs 0.0000 0.0000 0.5000
Cs 0.3333 0.6667 0.2149
Cs 0.6667 0.3333 0.7149
Mo 0.1790 0.6558 0.6459
Mo 0.1885 0.5130 0.7876
Mo 0.3246 0.8115 0.7876
Mo 0.3442 0.5233 0.6459
Mo 0.4767 0.8210 0.6459
Mo 0.4870 0.6754 0.7876
Mo 0.5130 0.1885 0.2876
Mo 0.5233 0.3442 0.1459
Mo 0.6558 0.1790 0.1459
Mo 0.6754 0.4870 0.2876
Mo 0.8115 0.3246 0.2876
Mo 0.8210 0.4767 0.1459
Cl 0.0145 0.3233 0.3742
Cl 0.0341 0.6689 0.0593
Cl 0.0431 0.6511 0.7858
Cl 0.0619 0.3734 0.6477
Cl 0.3088 0.9855 0.3742
Cl 0.3115 0.9381 0.6477
Cl 0.3233 0.0145 0.8742
Cl 0.3311 0.3652 0.0593
Cl 0.3333 0.6667 0.5154
Cl 0.3333 0.6667 0.9181
Cl 0.3489 0.3921 0.7858
Cl 0.3652 0.3311 0.5593
Cl 0.3734 0.0619 0.1477
Cl 0.3921 0.3489 0.2858
Cl 0.6079 0.9569 0.7858
Cl 0.6266 0.6885 0.6477
Cl 0.6348 0.9659 0.0593
Cl 0.6511 0.0431 0.2858
Cl 0.6667 0.3333 0.0154
Cl 0.6667 0.3333 0.4181
Cl 0.6689 0.0341 0.5593
Cl 0.6767 0.6912 0.3742
Cl 0.6885 0.6266 0.1477
Cl 0.6912 0.6767 0.8742
Cl 0.9381 0.3115 0.1477
Cl 0.9569 0.6079 0.2858
Cl 0.9659 0.6348 0.5593
Cl 0.9855 0.3088 0.8742

[3]
Structure and computed powder diffractogram of Cs2MoCl6 (DFT lattice parameters and positions (PBE); copper Kα).
Peak positions follow from Bragg's law for the DFT cell and can differ from measured ones.

Peak list (8 most intense, 2θ from 10° to 80°, by angle)
2θ/deg	I (rel.)
14.5	45.4
23.7	100.0
29.2	65.5
33.8	75.2
41.7	42.1
48.5	48.4
54.7	23.9
65.9	25.7

Cell and atoms:
Unit cell a=7.5027 b=7.5027 c=7.5027 alpha=60.00 beta=60.00 gamma=60.00
Sites, in units of the cell vectors:
Cs 0.2500 0.2500 0.2500
Cs 0.7500 0.7500 0.7500
Mo 0.0000 0.0000 0.0000
Cl 0.2266 0.2266 0.7734
Cl 0.2266 0.7734 0.2266
Cl 0.2266 0.7734 0.7734
Cl 0.7734 0.2266 0.2266
Cl 0.7734 0.2266 0.7734
Cl 0.7734 0.7734 0.2266